# 1
Li2H6PtAu: simulated powder X-ray diffraction pattern (CuKα), based on a DFT-relaxed cell (PBE, Alexandria).

Top 10 peaks for 10° ≤ 2θ ≤ 90°, most intense first:
- 24.7°, d = 3.604 Å, I 100
- 35.2°, d = 2.547 Å, I 88
- 24.8°, d = 3.589 Å, I 49
- 63.0°, d = 1.474 Å, I 25
- 35.1°, d = 2.557 Å, I 22
- 43.4°, d = 2.087 Å, I 22
- 35.6°, d = 2.525 Å, I 21
- 43.7°, d = 2.069 Å, I 21
- 57.1°, d = 1.613 Å, I 21
- 63.6°, d = 1.462 Å, I 16

Atomic structure:
Unit cell a=5.050 b=5.090 c=5.092 alpha=90.32 beta=119.67 gamma=119.65
Positions (direct):
Li 0.000 0.248 0.252
Li 0.000 0.752 0.748
H 0.027 0.804 0.303
H 0.422 0.727 0.225
H 0.499 0.760 0.736
H 0.501 0.240 0.264
H 0.578 0.273 0.775
H 0.973 0.196 0.697
Pt 0.500 0.000 0.500
Au 0.500 0.500 0.000

# 2
Rb2LiH6Au2: simulated powder X-ray diffraction pattern (CuKα), based on a DFT-relaxed cell (PBE, Alexandria).

Top 10 peaks for 10° ≤ 2θ ≤ 90°, most intense first:
- 30.1°, d = 2.965 Å, I 100
- 19.8°, d = 4.491 Å, I 93
- 15.9°, d = 5.582 Å, I 59
- 21.8°, d = 4.069 Å, I 53
- 31.5°, d = 2.844 Å, I 52
- 31.8°, d = 2.815 Å, I 51
- 28.9°, d = 3.087 Å, I 39
- 29.6°, d = 3.016 Å, I 34
- 36.6°, d = 2.453 Å, I 32
- 40.2°, d = 2.245 Å, I 22

Atomic structure:
Unit cell a=7.031 b=7.031 c=7.289 alpha=119.87 beta=119.87 gamma=40.83
Positions (direct):
Rb 0.184 0.184 0.187
Rb 0.816 0.816 0.813
Li 0.000 0.000 0.500
H 0.157 0.646 0.551
H 0.354 0.843 0.449
H 0.359 0.359 0.056
H 0.641 0.641 0.944
H 0.646 0.157 0.551
H 0.843 0.354 0.449
Au 0.495 0.495 0.287
Au 0.505 0.505 0.713

# 3
Mn2HAu: simulated powder X-ray diffraction pattern (CuKα), based on a DFT-relaxed cell (PBE, Alexandria).

Top 10 peaks for 10° ≤ 2θ ≤ 90°, most intense first:
- 40.1°, d = 2.251 Å, I 100
- 34.0°, d = 2.639 Å, I 82
- 64.9°, d = 1.437 Å, I 32
- 60.8°, d = 1.524 Å, I 31
- 20.6°, d = 4.310 Å, I 30
- 71.5°, d = 1.320 Å, I 22
- 81.6°, d = 1.180 Å, I 14
- 85.2°, d = 1.138 Å, I 11
- 41.9°, d = 2.155 Å, I 9
- 53.5°, d = 1.713 Å, I 9

Atomic structure:
Unit cell a=5.279 b=5.279 c=5.279 alpha=60.00 beta=60.00 gamma=60.00
Positions (direct):
Mn 0.000 0.000 0.000
Mn 0.000 0.000 0.500
Mn 0.000 0.500 0.000
Mn 0.500 0.000 0.000
H 0.125 0.125 0.125
H 0.875 0.875 0.875
Au 0.375 0.375 0.375
Au 0.625 0.625 0.625

# 4
MnHRuAu: simulated powder X-ray diffraction pattern (CuKα), based on a DFT-relaxed cell (PBE, Alexandria).

Top 10 peaks for 10° ≤ 2θ ≤ 90°, most intense first:
- 39.7°, d = 2.269 Å, I 100
- 42.9°, d = 2.109 Å, I 76
- 36.3°, d = 2.477 Å, I 56
- 38.8°, d = 2.321 Å, I 53
- 65.3°, d = 1.429 Å, I 29
- 25.1°, d = 3.546 Å, I 27
- 32.7°, d = 2.735 Å, I 27
- 18.9°, d = 4.687 Å, I 26
- 48.8°, d = 1.865 Å, I 25
- 26.3°, d = 3.389 Å, I 24

Atomic structure:
Unit cell a=5.142 b=5.142 c=3.737 alpha=107.65 beta=107.65 gamma=32.29
Positions (direct):
Mn 0.000 0.000 0.000
H 0.537 0.537 0.339
Ru 0.378 0.378 0.421
Au 0.704 0.704 0.778

# 5
MnHRuAu: simulated powder X-ray diffraction pattern (CuKα), based on a DFT-relaxed cell (PBE, Alexandria).

Top 10 peaks for 10° ≤ 2θ ≤ 90°, most intense first:
- 39.7°, d = 2.270 Å, I 100
- 40.8°, d = 2.211 Å, I 52
- 73.5°, d = 1.289 Å, I 27
- 55.7°, d = 1.649 Å, I 23
- 29.9°, d = 2.987 Å, I 20
- 30.0°, d = 2.976 Å, I 20
- 71.3°, d = 1.323 Å, I 17
- 73.7°, d = 1.286 Å, I 16
- 36.3°, d = 2.475 Å, I 13
- 17.9°, d = 4.950 Å, I 10

Atomic structure:
Unit cell a=5.421 b=5.421 c=5.421 alpha=146.55 beta=146.41 gamma=48.13
Positions (direct):
Mn 0.000 0.000 0.000
H 0.204 0.204 0.000
Ru 0.372 0.372 0.000
Au 0.670 0.670 0.000

# 6
Ta2MnHAu: simulated powder X-ray diffraction pattern (CuKα), based on a DFT-relaxed cell (PBE, Alexandria).

Top 10 peaks for 10° ≤ 2θ ≤ 90°, most intense first:
- 38.6°, d = 2.331 Å, I 100
- 44.1°, d = 2.054 Å, I 35
- 77.4°, d = 1.233 Å, I 27
- 66.0°, d = 1.415 Å, I 21
- 46.5°, d = 1.953 Å, I 15
- 80.9°, d = 1.188 Å, I 12
- 64.1°, d = 1.453 Å, I 11
- 82.8°, d = 1.166 Å, I 11
- 21.6°, d = 4.109 Å, I 11
- 31.6°, d = 2.831 Å, I 9

Atomic structure:
Unit cell a=4.109 b=4.109 c=3.906 alpha=90.00 beta=90.00 gamma=90.00
Positions (direct):
Ta 0.000 0.500 0.000
Ta 0.500 0.000 0.000
Mn 0.000 0.000 0.500
H 0.000 0.000 0.000
Au 0.500 0.500 0.500